1.
For TcNiP2Se, a cell relaxed with PBE gives the theoretical powder X-ray diffraction pattern in this record (CuKα).

Largest 12 diffraction maxima, in order of rising 2θ, 2θ from 10° to 80°:
2theta  intensity
14.05  30.6
27.26  100.0
29.49  43.4
33.93  22.5
38.77  18.0
43.04  17.4
44.71  38.8
44.93  21.5
46.18  17.2
46.31  35.2
46.89  27.9
51.00  13.7

Structure:
```
5
Lattice="3.472 -1.938 0.000 3.472 1.938 0.000 -3.411 0.000 6.305" Properties=species:S:1:pos:R:3 pbc="T T T"
Tc 0.000 0.000 0.000
Ni -1.250 0.000 2.493
P 0.964 0.000 2.189
P 4.648 0.000 0.575
Se -1.146 0.000 4.847
```

---

2.
For TcNiP2Se, a cell relaxed with PBE gives the theoretical powder X-ray diffraction pattern in this record (CuKα).

Largest 12 diffraction maxima, in order of rising 2θ, 2θ from 10° to 80°:
2theta  intensity
10.40  69.5
20.88  41.5
31.46  91.8
34.34  29.8
35.98  30.1
40.05  100.0
42.45  41.4
47.75  27.6
50.65  54.3
55.62  59.9
70.72  17.6
72.42  20.2

Structure:
```
5
Lattice="1.652 0.954 8.507 -1.652 0.954 8.507 0.000 -1.908 8.507" Properties=species:S:1:pos:R:3 pbc="T T T"
Tc 0.000 0.000 0.000
Ni 0.000 0.000 2.722
P 0.000 0.000 6.959
P 0.000 0.000 9.975
Se 0.000 0.000 21.196
```

---

3.
For SiNi4P2, a cell relaxed with PBE gives the theoretical powder X-ray diffraction pattern in this record (CuKα).

Largest 12 diffraction maxima, in order of rising 2θ, 2θ from 10° to 80°:
2theta  intensity
19.34  11.8
33.10  17.6
36.51  16.0
39.26  12.0
39.53  11.6
39.90  56.5
40.28  12.0
44.72  56.3
47.74  12.3
48.07  100.0
48.63  12.6
51.54  42.8

Structure:
```
28
Lattice="9.178 0.000 0.000 0.000 3.546 0.000 0.000 0.000 10.254" Properties=species:S:1:pos:R:3 pbc="T T T"
Si 2.070 0.887 1.461
Si 2.520 2.660 6.588
Si 6.659 0.887 3.666
Si 7.109 2.660 8.793
Ni 0.380 2.660 8.196
Ni 0.899 2.660 0.460
Ni 1.019 0.887 6.409
Ni 1.445 2.660 2.915
Ni 3.144 0.887 8.043
Ni 3.570 2.660 1.281
Ni 3.690 0.887 5.587
Ni 4.209 0.887 3.069
Ni 4.969 2.660 7.185
Ni 5.488 2.660 4.667
Ni 5.608 0.887 8.973
Ni 6.034 2.660 2.212
Ni 7.733 0.887 7.339
Ni 8.159 2.660 3.846
Ni 8.279 0.887 9.794
Ni 8.798 0.887 2.058
P 0.573 0.887 4.154
P 1.332 0.887 9.247
P 3.257 2.660 4.120
P 4.017 2.660 9.281
P 5.162 0.887 0.973
P 5.921 0.887 6.134
P 7.846 2.660 1.007
P 8.606 2.660 6.100
```

---

4.
For Si2Ni21P6, a cell relaxed with PBE gives the theoretical powder X-ray diffraction pattern in this record (CuKα).

Largest 12 diffraction maxima, in order of rising 2θ, 2θ from 10° to 80°:
2theta  intensity
22.91  10.8
36.60  4.5
40.23  13.0
42.79  100.0
46.80  29.6
49.08  28.6
49.83  23.3
55.51  10.2
73.13  15.2
74.89  12.2
77.80  5.4
79.53  7.0

Structure:
```
29
Lattice="0.000 5.490 5.490 5.490 0.000 5.490 5.490 5.490 0.000" Properties=species:S:1:pos:R:3 pbc="T T T"
Si 2.745 2.745 2.745
Si 8.235 8.235 8.235
Ni 0.000 0.000 0.000
Ni 1.905 1.905 0.000
Ni 3.585 3.585 0.000
Ni 1.905 0.000 1.905
Ni 5.490 3.585 1.905
Ni 3.585 0.000 3.585
Ni 5.490 1.905 3.585
Ni 6.855 4.125 4.125
Ni 0.000 1.905 1.905
Ni 3.585 5.490 1.905
Ni 3.585 1.905 5.490
Ni 4.125 4.125 4.125
Ni 6.855 6.855 4.125
Ni 6.855 4.125 6.855
Ni 4.125 6.855 4.125
Ni 4.125 4.125 6.855
Ni 6.855 6.855 6.855
Ni 0.000 3.585 3.585
Ni 1.905 5.490 3.585
Ni 1.905 3.585 5.490
Ni 4.125 6.855 6.855
P 5.490 5.490 2.923
P 5.490 2.923 5.490
P 8.057 5.490 5.490
P 2.923 5.490 5.490
P 5.490 8.057 5.490
P 5.490 5.490 8.057
```

---

5.
For SiNi2P, a cell relaxed with PBE gives the theoretical powder X-ray diffraction pattern in this record (CuKα).

Largest 12 diffraction maxima, in order of rising 2θ, 2θ from 10° to 80°:
2theta  intensity
30.27  80.6
35.33  29.1
36.01  23.4
40.69  19.5
47.74  100.0
49.00  20.0
50.30  19.3
53.77  41.0
58.04  7.8
66.42  6.8
74.72  13.5
75.72  5.4

Structure:
```
32
Lattice="4.987 0.000 0.000 0.000 13.643 0.000 0.000 0.000 5.903" Properties=species:S:1:pos:R:3 pbc="T T T"
Si 0.908 0.814 0.455
Si 0.908 6.007 3.406
Si 1.586 7.635 0.455
Si 1.586 12.828 3.406
Si 3.401 0.814 2.496
Si 3.401 6.007 5.448
Si 4.079 7.635 2.496
Si 4.079 12.828 5.448
Ni 0.066 0.894 4.122
Ni 0.066 5.928 1.171
Ni 0.068 9.237 1.159
Ni 0.068 11.226 4.110
Ni 2.426 2.416 1.159
Ni 2.426 4.405 4.110
Ni 2.427 7.715 4.122
Ni 2.427 12.749 1.171
Ni 2.560 0.894 4.732
Ni 2.560 5.928 1.781
Ni 2.561 9.237 1.793
Ni 2.561 11.226 4.744
Ni 4.919 2.416 1.793
Ni 4.919 4.405 4.744
Ni 4.920 7.715 4.732
Ni 4.920 12.749 1.781
P 0.906 9.290 3.304
P 0.906 11.173 0.353
P 1.587 2.469 3.304
P 1.587 4.352 0.353
P 3.399 9.290 5.550
P 3.399 11.173 2.599
P 4.081 2.469 5.550
P 4.081 4.352 2.599
```

---

6.
For SiNi2P, a cell relaxed with PBE gives the theoretical powder X-ray diffraction pattern in this record (CuKα).

Largest 12 diffraction maxima, in order of rising 2θ, 2θ from 10° to 80°:
2theta  intensity
30.72  77.7
31.27  21.8
35.38  23.7
35.56  24.7
36.04  13.3
45.20  55.1
47.54  100.0
47.93  37.8
51.17  23.4
54.26  28.0
55.31  26.1
74.41  12.7

Structure:
```
16
Lattice="6.762 0.000 0.000 0.000 5.721 0.000 -0.011 0.000 5.075" Properties=species:S:1:pos:R:3 pbc="T T T"
Si 0.822 0.509 1.587
Si 0.816 2.352 4.125
Si 5.935 3.369 0.950
Si 5.930 5.212 3.487
Ni 0.902 3.997 2.501
Ni 0.896 4.584 5.038
Ni 2.596 1.133 0.023
Ni 2.590 1.728 2.561
Ni 4.161 3.993 2.514
Ni 4.156 4.588 5.051
Ni 5.855 1.136 0.037
Ni 5.850 1.724 2.574
P 2.499 3.271 0.937
P 2.494 5.310 3.475
P 4.258 0.411 1.600
P 4.253 2.449 4.137
```

---

7.
For Si2Ni8P, a cell relaxed with PBE gives the theoretical powder X-ray diffraction pattern in this record (CuKα).

Largest 12 diffraction maxima, in order of rising 2θ, 2θ from 10° to 80°:
2theta  intensity
35.74  15.3
38.15  8.9
42.99  17.5
45.16  21.6
45.79  100.0
49.61  26.2
52.41  6.9
53.21  13.8
57.15  8.0
67.70  8.2
75.71  9.0
79.03  5.9

Structure:
```
11
Lattice="-1.837 3.223 5.164 1.837 -3.223 5.164 1.837 3.223 -5.164" Properties=species:S:1:pos:R:3 pbc="T T T"
Si 0.000 0.000 1.971
Si 0.000 0.000 8.357
Ni 1.837 1.449 -1.658
Ni 0.000 1.198 0.000
Ni 1.837 0.000 3.776
Ni 1.837 1.449 1.658
Ni 0.000 1.774 3.506
Ni 0.000 3.223 1.388
Ni 0.000 5.249 0.000
Ni 0.000 1.774 6.822
P 0.000 0.000 5.164
```

---

8.
For SmNiP2, a cell relaxed with PBE gives the theoretical powder X-ray diffraction pattern in this record (CuKα).

Largest 12 diffraction maxima, in order of rising 2θ, 2θ from 10° to 80°:
2theta  intensity
23.89  88.1
27.27  27.9
33.08  100.0
37.24  32.3
38.29  82.3
38.44  80.5
40.41  14.7
47.92  52.7
48.74  31.9
59.36  17.0
59.58  17.0
62.21  26.6

Structure:
```
8
Lattice="0.000 9.657 2.692 2.678 0.000 2.692 2.678 9.657 0.000" Properties=species:S:1:pos:R:3 pbc="T T T"
Sm 2.678 2.285 2.692
Sm 2.678 17.029 2.692
Ni 1.339 4.828 1.351
Ni 4.017 14.485 4.042
P 3.809 9.657 1.525
P 2.678 6.079 2.694
P 1.546 9.657 1.525
P 2.678 13.235 2.694
```

---

9.
For Ni10SnP3, a cell relaxed with PBE gives the theoretical powder X-ray diffraction pattern in this record (CuKα).

Largest 12 diffraction maxima, in order of rising 2θ, 2θ from 10° to 80°:
2theta  intensity
36.45  58.8
36.97  35.9
38.97  33.9
40.48  35.2
40.72  19.0
41.83  53.7
44.35  52.5
45.02  47.5
46.52  90.0
47.37  100.0
55.78  19.5
68.57  18.4

Structure:
```
42
Lattice="7.676 0.000 0.000 -3.838 6.647 0.000 0.000 0.000 9.649" Properties=species:S:1:pos:R:3 pbc="T T T"
Ni 0.000 0.000 1.152
Ni 0.000 0.000 8.498
Ni -1.297 2.246 0.000
Ni -2.541 4.401 0.000
Ni -1.812 3.385 7.140
Ni 0.000 1.819 2.899
Ni -2.263 5.738 2.899
Ni 0.000 2.519 5.529
Ni -1.656 5.388 5.529
Ni 1.575 0.909 6.751
Ni 0.000 4.432 3.895
Ni 0.000 4.432 8.533
Ni 2.593 0.000 0.000
Ni 1.297 2.246 0.000
Ni 2.182 1.260 4.121
Ni 1.812 3.385 7.140
Ni 0.000 6.524 7.140
Ni 3.838 0.123 2.509
Ni 2.026 3.262 2.509
Ni 1.656 5.388 5.529
Ni 5.082 0.000 0.000
Ni 2.541 4.401 0.000
Ni 3.838 2.216 1.116
Ni 3.838 2.216 5.754
Ni 2.263 5.738 2.899
Ni 5.494 1.260 4.121
Ni 3.838 4.128 4.121
Ni 6.101 0.909 6.751
Ni 3.838 4.829 6.751
Ni 5.650 3.262 2.509
Sn 0.000 0.000 4.825
Sn 0.000 4.432 1.344
Sn 3.838 2.216 8.305
P -1.919 3.324 4.825
P 0.000 2.187 7.811
P -1.944 5.554 7.811
P 1.894 1.094 1.838
P 3.838 0.000 4.825
P 1.919 3.324 4.825
P 1.944 5.554 7.811
P 5.781 1.094 1.838
P 3.838 4.460 1.838
```

---

10.
For Ni10Sn5P3, a cell relaxed with PBE gives the theoretical powder X-ray diffraction pattern in this record (CuKα).

Largest 12 diffraction maxima, in order of rising 2θ, 2θ from 10° to 80°:
2theta  intensity
31.37  100.0
32.33  83.4
32.47  39.2
34.85  34.8
43.54  75.5
44.05  66.7
44.21  44.6
44.35  57.3
44.43  59.8
46.86  66.9
47.22  59.9
49.05  60.2

Structure:
```
36
Lattice="6.459 0.000 0.000 1.050 8.305 0.000 1.015 2.827 9.886" Properties=species:S:1:pos:R:3 pbc="T T T"
Ni 0.000 0.000 0.000
Ni 1.318 6.414 2.012
Ni 0.959 3.933 1.243
Ni 2.171 8.244 3.715
Ni 1.843 4.475 5.416
Ni 2.931 4.496 9.534
Ni 3.442 8.302 7.924
Ni 2.941 4.166 3.023
Ni 3.272 5.232 0.670
Ni 3.103 1.519 2.902
Ni 4.262 5.566 4.943
Ni 5.421 9.613 6.984
Ni 5.252 5.900 9.215
Ni 5.583 6.966 6.863
Ni 5.081 2.830 1.962
Ni 5.593 6.636 0.352
Ni 6.681 6.657 4.469
Ni 6.352 2.889 6.171
Ni 7.565 7.199 8.642
Ni 7.206 4.718 7.873
Sn 0.790 2.579 3.677
Sn 2.145 2.555 7.499
Sn 3.146 5.827 7.331
Sn 3.359 7.942 1.287
Sn 4.390 8.213 4.963
Sn 4.133 2.919 4.923
Sn 5.165 3.191 8.598
Sn 5.377 5.306 2.554
Sn 6.378 8.577 2.387
Sn 7.734 8.554 6.209
P 2.252 8.753 9.728
P 2.312 6.066 3.954
P 2.982 2.945 1.133
P 5.542 8.187 8.752
P 6.212 5.066 5.932
P 6.272 2.379 0.158
```